Starting from a cell relaxed with GGA-PBE, the XRD peak list of Ho3Tm6Th was simulated for Cu Kα.
Neutral-atom scattering factors, no anomalous dispersion.

Largest 10 diffraction maxima, by angle, 15 to 90 degrees two-theta:
- 29.43°, d = 3.035 Å, I 65.0
- 31.99°, d = 2.798 Å, I 100.0
- 32.46°, d = 2.758 Å, I 15.9
- 37.52°, d = 2.397 Å, I 11.4
- 42.05°, d = 2.149 Å, I 16.2
- 44.01°, d = 2.057 Å, I 21.9
- 55.44°, d = 1.657 Å, I 22.3
- 57.01°, d = 1.615 Å, I 19.7
- 57.69°, d = 1.598 Å, I 15.0
- 66.88°, d = 1.399 Å, I 12.2

Cell and atoms:
```
data_Ho3Tm6Th
_symmetry_space_group_name_H-M 'R 3 2'
_symmetry_Int_Tables_number 155
_symmetry_space_group_name_Hall 'R 3 2"'
_cell_length_a 9.6928
_cell_length_b 9.6928
_cell_length_c 11.6803
_cell_angle_alpha 90.00
_cell_angle_beta 90.00
_cell_angle_gamma 120.00
loop_
_atom_site_label
_atom_site_fract_x
_atom_site_fract_y
_atom_site_fract_z
_atom_site_occupancy
Ho1 0.0000 0.0000 0.0000 1
Ho2 0.0000 0.0000 0.2424 1
Tm1 0.0000 0.3342 0.5000 1
Tm2 0.0000 0.6640 0.0000 1
Th1 0.0000 0.0000 0.5000 1
```

---

Starting from a cell relaxed with GGA-PBE, the XRD peak list of Cs2Zr3I9 was simulated for Cu Kα.
Neutral-atom scattering factors, no anomalous dispersion.

Largest 10 diffraction maxima, by angle, 15 to 90 degrees two-theta:
- 15.79°, d = 5.612 Å, I 37.4
- 24.91°, d = 3.574 Å, I 69.0
- 25.76°, d = 3.459 Å, I 94.0
- 26.94°, d = 3.310 Å, I 63.5
- 27.45°, d = 3.249 Å, I 100.0
- 31.04°, d = 2.881 Å, I 72.4
- 33.93°, d = 2.642 Å, I 35.8
- 35.70°, d = 2.515 Å, I 65.3
- 42.73°, d = 2.116 Å, I 53.0
- 43.30°, d = 2.090 Å, I 40.8

Cell and atoms:
```
data_Cs2Zr3I9
_symmetry_space_group_name_H-M 'C 1 2/m 1'
_symmetry_Int_Tables_number 12
_cell_length_a 12.397
_cell_length_b 20.317
_cell_length_c 11.488
_cell_angle_alpha 90.00
_cell_angle_beta 115.41
_cell_angle_gamma 90.00
loop_
_symmetry_equiv_pos_as_xyz
'x,y,z'
'-x,-y,-z'
'-x,y,-z'
'x,-y,z'
'x+1/2,y+1/2,z'
'-x+1/2,-y+1/2,-z'
'-x+1/2,y+1/2,-z'
'x+1/2,-y+1/2,z'
loop_
_atom_site_label
_atom_site_fract_x
_atom_site_fract_y
_atom_site_fract_z
_atom_site_occupancy
Cs1 0.105 0.161 0.317 1
Zr1 0.114 0.500 0.870 1
Zr2 0.131 0.414 0.139 1
I1 0.000 0.298 0.000 1
I2 0.022 0.400 0.315 1
I3 0.190 0.000 0.675 1
I4 0.199 0.194 0.681 1
I5 0.212 0.101 0.989 1
I6 0.245 0.000 0.293 1
```

---

Starting from a cell relaxed with GGA-PBE, the XRD peak list of CsK2Au3 was simulated for Cu Kα.
Neutral-atom scattering factors, no anomalous dispersion.

Largest 10 diffraction maxima, by angle, 15 to 90 degrees two-theta:
- 21.58°, d = 4.118 Å, I 28.5
- 21.81°, d = 4.074 Å, I 11.2
- 30.70°, d = 2.912 Å, I 56.2
- 30.87°, d = 2.896 Å, I 100.0
- 37.98°, d = 2.369 Å, I 12.0
- 43.98°, d = 2.059 Å, I 21.0
- 54.69°, d = 1.678 Å, I 39.7
- 55.01°, d = 1.669 Å, I 14.1
- 72.64°, d = 1.302 Å, I 18.1
- 89.02°, d = 1.100 Å, I 10.7

Cell and atoms:
```
data_CsK2Au3
_symmetry_space_group_name_H-M 'P 4/m m m'
_symmetry_Int_Tables_number 123
_symmetry_space_group_name_Hall '-P 4 2'
_cell_length_a 4.118
_cell_length_b 4.118
_cell_length_c 12.223
_cell_angle_alpha 90.00
_cell_angle_beta 90.00
_cell_angle_gamma 90.00
loop_
_atom_site_label
_atom_site_fract_x
_atom_site_fract_y
_atom_site_fract_z
_atom_site_occupancy
Cs1 0.000 0.000 0.000 1
K1 0.000 0.000 0.342 1
Au1 0.500 0.500 0.190 1
Au2 0.500 0.500 0.500 1
```